Structure and simulated X-ray powder pattern of Na4CoPt3O8 (a cell relaxed with GGA+U; Cu Kα (λ = 1.5418 Å)).

a = 11.803 Å, b = 6.178 Å, c = 6.168 Å
α = 90.00°, β = 118.92°, γ = 90.00°
Space group C2/m (No. 12)
Asymmetric unit:
Na (0.000, 0.000, 0.000) x2
Na (0.000, 0.500, 0.000) x2
Na (0.250, 0.250, 0.500) x4
Co (0.000, 0.000, 0.500) x2
Pt (0.000, 0.500, 0.500) x2
Pt (0.250, 0.250, 0.000) x4
O (0.052, 0.252, 0.752) x8
O (0.215, 0.000, 0.180) x4
O (0.241, 0.500, 0.212) x4

Peak list (10 most intense, 2θ from 5° to 70°, by angle)
17.08°, I 100; 29.14°, I 22; 33.19°, I 21; 33.42°, I 29; 33.81°, I 43; 34.55°, I 21; 34.74°, I 32; 41.39°, I 43; 54.18°, I 18; 56.04°, I 16